Record 1
Computed powder diffraction line list
Compound: La2CdSe2O2
Radiation: Cu Kα (weighted mean of Kα1 and Kα2)
Structure: DFT lattice parameters and positions (GGA-PBE)
Kinematic intensities with the Lorentz-polarization factor, no thermal factor.

Atomic structure:
```
data_La2CdSe2O2
_chemical_formula_sum 'La4 Cd2 Se4 O4'
_cell_length_a 4.094
_cell_length_b 4.094
_cell_length_c 18.893
_cell_angle_alpha 90.00
_cell_angle_beta 90.00
_cell_angle_gamma 90.00
_space_group_name_H-M_alt 'P 42/n m c'
_space_group_IT_number 137
loop_
_space_group_symop_operation_xyz
'x,y,z'
'-x,-y,-z'
'-y+1/2,x,z+1/2'
'y+1/2,-x,-z+1/2'
'-x+1/2,-y+1/2,z'
'x+1/2,y+1/2,-z'
'y,-x+1/2,z+1/2'
'-y,x+1/2,-z+1/2'
'x+1/2,-y,-z'
'-x+1/2,y,z'
'-y,-x,-z+1/2'
'y,x,z+1/2'
'-x,y+1/2,-z'
'x,-y+1/2,z'
'y+1/2,x+1/2,-z+1/2'
'-y+1/2,-x+1/2,z+1/2'
loop_
_atom_site_label
_atom_site_fract_x
_atom_site_fract_y
_atom_site_fract_z
La1 0.250 0.250 0.065
Cd1 0.250 0.750 0.250
Se1 0.250 0.250 0.343
O1 0.250 0.750 0.001
```

Top 8 peaks for 2θ = 10–90°, by angle:
2θ (°)	I/Imax	h k l
28.86	100	1 0 4
30.89	22	1 1 0
32.34	21	1 1 2
35.98	20	1 0 6
36.40	27	1 1 4
44.25	42	2 0 0
49.83	26	1 1 8
53.69	35	2 1 4



Record 2
Computed powder diffraction line list
Compound: LaCdTcO6
Radiation: Cu Kα (weighted mean of Kα1 and Kα2)
Structure: DFT lattice parameters and positions (GGA-PBE)
Kinematic intensities with the Lorentz-polarization factor, no thermal factor.

Atomic structure:
```
data_LaCdTcO6
_chemical_formula_sum 'La1 Cd1 Tc1 O6'
_cell_length_a 5.5470
_cell_length_b 5.5470
_cell_length_c 5.0121
_cell_angle_alpha 90.00
_cell_angle_beta 90.00
_cell_angle_gamma 120.00
_space_group_name_H-M_alt 'P 3 1 2'
_space_group_IT_number 149
loop_
_space_group_symop_operation_xyz
'x,y,z'
'-y,x-y,z'
'-x+y,-x,z'
'-y,-x,-z'
'-x+y,y,-z'
'x,x-y,-z'
loop_
_atom_site_label
_atom_site_fract_x
_atom_site_fract_y
_atom_site_fract_z
La1 0.0000 0.0000 0.0000
Cd1 0.3333 0.6667 0.5000
Tc1 0.6667 0.3333 0.5000
O1 0.3845 0.0520 0.7194
```

Top 8 peaks for 2θ = 10–90°, by angle:
2θ (°)	I/Imax	h k l
25.69	100	1 0 1
32.28	43	1 1 0
41.70	26	2 0 1
48.99	42	2 -1 2
53.69	26	3 -1 1
57.56	14	3 0 0
73.56	10	3 1 1
78.89	9	2 2 2



Record 3
Computed powder diffraction line list
Compound: La12Tl4CdO3
Radiation: Cu Kα (weighted mean of Kα1 and Kα2)
Structure: DFT lattice parameters and positions (GGA-PBE)
Kinematic intensities with the Lorentz-polarization factor, no thermal factor.

Atomic structure:
```
data_La12Tl4CdO3
_chemical_formula_sum 'La24 Tl8 Cd2 O6'
_cell_length_a 10.590
_cell_length_b 10.590
_cell_length_c 10.590
_cell_angle_alpha 90.00
_cell_angle_beta 90.00
_cell_angle_gamma 90.00
_space_group_name_H-M_alt 'I m -3 m'
_space_group_IT_number 229
_space_group_name_Hall '-I 4 2 3'
loop_
_atom_site_label
_atom_site_fract_x
_atom_site_fract_y
_atom_site_fract_z
La1 0.000 0.000 0.276
La2 0.000 0.250 0.500
Tl1 0.250 0.250 0.250
Cd1 0.000 0.000 0.000
O1 0.000 0.000 0.500
```

Top 8 peaks for 2θ = 10–90°, by angle:
2θ (°)	I/Imax	h k l
23.76	10	2 2 0
29.21	100	2 2 2
33.86	67	4 0 0
48.64	46	4 4 0
57.75	41	6 2 2
60.58	15	4 4 4
78.78	15	6 6 2
81.25	18	8 4 0



Record 4
Computed powder diffraction line list
Compound: La8CdOs2
Radiation: Cu Kα (weighted mean of Kα1 and Kα2)
Structure: DFT lattice parameters and positions (GGA-PBE)
Kinematic intensities with the Lorentz-polarization factor, no thermal factor.

Atomic structure:
```
data_La8CdOs2
_chemical_formula_sum 'La16 Cd2 Os4'
_cell_length_a 15.683
_cell_length_b 7.009
_cell_length_c 6.666
_cell_angle_alpha 90.00
_cell_angle_beta 97.45
_cell_angle_gamma 90.00
_space_group_name_H-M_alt 'C 1 2/m 1'
_space_group_IT_number 12
loop_
_space_group_symop_operation_xyz
'x,y,z'
'-x,-y,-z'
'-x,y,-z'
'x,-y,z'
'x+1/2,y+1/2,z'
'-x+1/2,-y+1/2,-z'
'-x+1/2,y+1/2,-z'
'x+1/2,-y+1/2,z'
loop_
_atom_site_label
_atom_site_fract_x
_atom_site_fract_y
_atom_site_fract_z
La1 0.070 0.000 0.330
La2 0.132 0.258 0.884
La3 0.202 0.500 0.381
Cd1 0.000 0.500 0.500
Os1 0.225 0.000 0.198
```

Top 8 peaks for 2θ = 10–90°, by angle:
2θ (°)	I/Imax	h k l
11.38	59	2 0 0
18.78	49	1 1 -1
28.84	66	0 2 1
30.74	61	2 0 2
31.12	50	1 1 2
31.75	72	2 2 1
32.78	100	5 1 -1
34.46	76	4 2 0



Record 5
Computed powder diffraction line list
Compound: La8CdOs2
Radiation: Cu Kα (weighted mean of Kα1 and Kα2)
Structure: DFT lattice parameters and positions (GGA-PBE)
Kinematic intensities with the Lorentz-polarization factor, no thermal factor.

Atomic structure:
```
data_La8CdOs2
_chemical_formula_sum 'La16 Cd2 Os4'
_cell_length_a 8.829
_cell_length_b 14.224
_cell_length_c 5.749
_cell_angle_alpha 90.00
_cell_angle_beta 102.15
_cell_angle_gamma 90.00
_space_group_name_H-M_alt 'C 1 m 1'
_space_group_IT_number 8
loop_
_space_group_symop_operation_xyz
'x,y,z'
'x,-y,z'
'x+1/2,y+1/2,z'
'x+1/2,-y+1/2,z'
loop_
_atom_site_label
_atom_site_fract_x
_atom_site_fract_y
_atom_site_fract_z
La1 0.000 0.000 0.000
La2 0.095 0.247 0.790
La3 0.189 0.000 0.579
La4 0.300 0.372 0.341
La5 0.389 0.128 0.238
Cd1 0.094 0.500 0.790
Os1 0.094 0.203 0.290
```

Top 8 peaks for 2θ = 10–90°, by angle:
2θ (°)	I/Imax	h k l
15.77	46	0 0 1
28.61	40	2 0 1
29.73	75	0 4 1
31.84	41	0 0 2
32.45	60	3 1 -1
32.63	100	2 4 0
34.30	43	0 2 2
36.54	65	3 3 0



Record 6
Computed powder diffraction line list
Compound: LaSmCdOs
Radiation: Cu Kα (weighted mean of Kα1 and Kα2)
Structure: DFT lattice parameters and positions (GGA-PBE)
Kinematic intensities with the Lorentz-polarization factor, no thermal factor.

Atomic structure:
```
data_LaSmCdOs
_chemical_formula_sum 'La4 Sm4 Cd4 Os4'
_cell_length_a 7.348
_cell_length_b 7.348
_cell_length_c 7.348
_cell_angle_alpha 90.00
_cell_angle_beta 90.00
_cell_angle_gamma 90.00
_space_group_name_H-M_alt 'F -4 3 m'
_space_group_IT_number 216
_space_group_name_Hall 'F -4 2 3'
loop_
_atom_site_label
_atom_site_fract_x
_atom_site_fract_y
_atom_site_fract_z
La1 0.000 0.000 0.000
Sm1 0.000 0.000 0.500
Cd1 0.250 0.250 0.250
Os1 0.250 0.250 0.750
```

Top 8 peaks for 2θ = 10–90°, by angle:
2θ (°)	I/Imax	h k l
20.94	3	1 1 1
34.52	100	2 2 0
40.73	2	3 1 1
49.63	18	4 0 0
54.43	1	3 3 1
61.86	37	4 2 2
72.81	11	4 4 0
83.14	16	6 2 0



Record 7
Computed powder diffraction line list
Compound: LaCd2PPt2
Radiation: Cu Kα (weighted mean of Kα1 and Kα2)
Structure: DFT lattice parameters and positions (GGA-PBE)
Kinematic intensities with the Lorentz-polarization factor, no thermal factor.

Atomic structure:
```
data_LaCd2PPt2
_chemical_formula_sum 'La2 Cd4 P2 Pt4'
_cell_length_a 5.231
_cell_length_b 5.231
_cell_length_c 10.836
_cell_angle_alpha 90.00
_cell_angle_beta 90.00
_cell_angle_gamma 90.00
_space_group_name_H-M_alt 'I 4/m m m'
_space_group_IT_number 139
_space_group_name_Hall '-I 4 2'
loop_
_atom_site_label
_atom_site_fract_x
_atom_site_fract_y
_atom_site_fract_z
La1 0.000 0.000 0.000
Cd1 0.000 0.500 0.250
P1 0.000 0.000 0.500
Pt1 0.000 0.000 0.295
```

Top 8 peaks for 2θ = 10–90°, by angle:
2θ (°)	I/Imax	h k l
16.36	73	0 0 2
24.06	41	1 1 0
30.07	71	1 0 3
34.29	100	2 0 0
38.21	37	2 0 2
46.24	44	2 1 3
48.38	39	2 0 4
49.28	36	2 2 0



Record 8
Computed powder diffraction line list
Compound: La2CdP3Rh12
Radiation: Cu Kα (weighted mean of Kα1 and Kα2)
Structure: DFT lattice parameters and positions (GGA-PBE)
Kinematic intensities with the Lorentz-polarization factor, no thermal factor.

Atomic structure:
```
data_La2CdP3Rh12
_chemical_formula_sum 'La6 Cd3 P9 Rh36'
_cell_length_a 8.8239
_cell_length_b 8.8239
_cell_length_c 13.4980
_cell_angle_alpha 90.00
_cell_angle_beta 90.00
_cell_angle_gamma 120.00
_space_group_name_H-M_alt 'R -3 m'
_space_group_IT_number 166
_space_group_name_Hall '-R 3 2"'
loop_
_atom_site_label
_atom_site_fract_x
_atom_site_fract_y
_atom_site_fract_z
La1 0.0000 0.0000 0.1161
Cd1 0.0000 0.0000 0.5000
P1 0.0000 0.5000 0.0000
Rh1 0.0142 0.5071 0.8338
Rh2 0.0421 0.5210 0.3706
```

Top 8 peaks for 2θ = 10–90°, by angle:
2θ (°)	I/Imax	h k l
33.76	32	1 2 2
35.26	26	0 1 5
35.49	51	0 2 4
40.91	100	2 2 0
46.02	13	1 2 5
58.61	16	2 2 6
63.25	13	2 3 5
74.50	12	6 0 0



Record 9
Computed powder diffraction line list
Compound: LaCdP2S8
Radiation: Cu Kα (weighted mean of Kα1 and Kα2)
Structure: DFT lattice parameters and positions (GGA-PBE)
Kinematic intensities with the Lorentz-polarization factor, no thermal factor.

Atomic structure:
```
data_LaCdP2S8
_chemical_formula_sum 'La1 Cd1 P2 S8'
_cell_length_a 6.4191
_cell_length_b 6.4191
_cell_length_c 9.0835
_cell_angle_alpha 90.00
_cell_angle_beta 90.00
_cell_angle_gamma 120.00
_space_group_name_H-M_alt 'P -3 m 1'
_space_group_IT_number 164
_space_group_name_Hall '-P 3 2"'
loop_
_atom_site_label
_atom_site_fract_x
_atom_site_fract_y
_atom_site_fract_z
La1 0.0000 0.0000 0.0000
Cd1 0.0000 0.0000 0.5000
P1 0.3333 0.6667 0.1957
S1 0.1582 0.3165 0.2686
S2 0.3333 0.6667 0.9758
```

Top 8 peaks for 2θ = 10–90°, by angle:
2θ (°)	I/Imax	h k l
15.94	100	1 0 0
18.71	29	1 0 1
25.32	49	0 1 2
27.80	50	1 1 0
34.21	62	1 1 2
37.95	50	2 0 2
43.03	33	1 0 4
47.69	25	1 2 2



Record 10
Computed powder diffraction line list
Compound: La3CdPb2
Radiation: Cu Kα (weighted mean of Kα1 and Kα2)
Structure: DFT lattice parameters and positions (GGA-PBE)
Kinematic intensities with the Lorentz-polarization factor, no thermal factor.

Atomic structure:
```
data_La3CdPb2
_chemical_formula_sum 'La6 Cd2 Pb4'
_cell_length_a 5.342
_cell_length_b 16.103
_cell_length_c 4.397
_cell_angle_alpha 90.00
_cell_angle_beta 90.00
_cell_angle_gamma 90.00
_space_group_name_H-M_alt 'C m m m'
_space_group_IT_number 65
_space_group_name_Hall '-C 2 2'
loop_
_atom_site_label
_atom_site_fract_x
_atom_site_fract_y
_atom_site_fract_z
La1 0.000 0.000 0.000
La2 0.000 0.330 0.000
Cd1 0.000 0.500 0.500
Pb1 0.000 0.160 0.500
```

Top 8 peaks for 2θ = 10–90°, by angle:
2θ (°)	I/Imax	h k l
31.17	100	1 3 1
33.39	20	0 6 0
33.55	21	2 0 0
41.06	12	0 0 2
48.06	15	2 6 0
58.29	16	1 9 1
58.51	17	3 3 1
65.01	12	2 6 2



Record 11
Computed powder diffraction line list
Compound: LaCdPb2
Radiation: Cu Kα (weighted mean of Kα1 and Kα2)
Structure: DFT lattice parameters and positions (GGA-PBE)
Kinematic intensities with the Lorentz-polarization factor, no thermal factor.

Atomic structure:
```
data_LaCdPb2
_chemical_formula_sum 'La1 Cd1 Pb2'
_cell_length_a 4.959
_cell_length_b 4.959
_cell_length_c 4.697
_cell_angle_alpha 90.00
_cell_angle_beta 90.00
_cell_angle_gamma 90.00
_space_group_name_H-M_alt 'P 4/m m m'
_space_group_IT_number 123
_space_group_name_Hall '-P 4 2'
loop_
_atom_site_label
_atom_site_fract_x
_atom_site_fract_y
_atom_site_fract_z
La1 0.000 0.000 0.000
Cd1 0.500 0.500 0.000
Pb1 0.000 0.500 0.500
```

Top 8 peaks for 2θ = 10–90°, by angle:
2θ (°)	I/Imax	h k l
31.85	100	1 1 1
36.23	36	2 0 0
38.32	15	0 0 2
52.17	13	2 2 0
53.76	23	2 0 2
62.44	29	3 1 1
65.26	13	1 1 3
88.15	18	4 2 0



Record 12
Computed powder diffraction line list
Compound: La6CdPb
Radiation: Cu Kα (weighted mean of Kα1 and Kα2)
Structure: DFT lattice parameters and positions (GGA-PBE)
Kinematic intensities with the Lorentz-polarization factor, no thermal factor.

Atomic structure:
```
data_La6CdPb
_chemical_formula_sum 'La6 Cd1 Pb1'
_cell_length_a 5.088
_cell_length_b 5.088
_cell_length_c 10.079
_cell_angle_alpha 90.00
_cell_angle_beta 90.00
_cell_angle_gamma 90.00
_space_group_name_H-M_alt 'P 4/m m m'
_space_group_IT_number 123
_space_group_name_Hall '-P 4 2'
loop_
_atom_site_label
_atom_site_fract_x
_atom_site_fract_y
_atom_site_fract_z
La1 0.000 0.000 0.000
La2 0.000 0.000 0.500
La3 0.000 0.500 0.250
Cd1 0.500 0.500 0.000
Pb1 0.500 0.500 0.500
```

Top 8 peaks for 2θ = 10–90°, by angle:
2θ (°)	I/Imax	h k l
30.53	100	1 1 2
35.28	34	2 0 0
35.63	17	0 0 4
50.75	12	2 2 0
51.02	24	2 0 4
60.39	29	3 1 2
60.86	14	1 1 6
63.55	12	2 2 4



Record 13
Computed powder diffraction line list
Compound: La2CdPd6Pb3
Radiation: Cu Kα (weighted mean of Kα1 and Kα2)
Structure: DFT lattice parameters and positions (GGA-PBE)
Kinematic intensities with the Lorentz-polarization factor, no thermal factor.

Atomic structure:
```
data_La2CdPd6Pb3
_chemical_formula_sum 'La2 Cd1 Pd6 Pb3'
_cell_length_a 4.135
_cell_length_b 4.135
_cell_length_c 17.971
_cell_angle_alpha 90.00
_cell_angle_beta 90.00
_cell_angle_gamma 90.00
_space_group_name_H-M_alt 'P 4/m m m'
_space_group_IT_number 123
_space_group_name_Hall '-P 4 2'
loop_
_atom_site_label
_atom_site_fract_x
_atom_site_fract_y
_atom_site_fract_z
La1 0.000 0.000 0.193
Cd1 0.000 0.000 0.500
Pd1 0.000 0.500 0.399
Pd2 0.500 0.500 0.147
Pb1 0.500 0.500 0.000
Pb2 0.500 0.500 0.302
```

Top 8 peaks for 2θ = 10–90°, by angle:
2θ (°)	I/Imax	h k l
26.19	100	1 0 3
30.58	43	1 1 0
30.99	39	1 1 1
36.67	35	1 1 4
41.40	62	1 0 7
43.24	70	1 1 6
43.79	72	2 0 0
61.83	38	2 1 7



Record 14
Computed powder diffraction line list
Compound: LaCd3Pd
Radiation: Cu Kα (weighted mean of Kα1 and Kα2)
Structure: DFT lattice parameters and positions (GGA-PBE)
Kinematic intensities with the Lorentz-polarization factor, no thermal factor.

Atomic structure:
```
data_LaCd3Pd
_chemical_formula_sum 'La2 Cd6 Pd2'
_cell_length_a 5.632
_cell_length_b 5.986
_cell_length_c 6.967
_cell_angle_alpha 90.00
_cell_angle_beta 91.17
_cell_angle_gamma 90.00
_space_group_name_H-M_alt 'P 1 21/m 1'
_space_group_IT_number 11
loop_
_space_group_symop_operation_xyz
'x,y,z'
'-x,-y,-z'
'-x,y+1/2,-z'
'x,-y+1/2,z'
loop_
_atom_site_label
_atom_site_fract_x
_atom_site_fract_y
_atom_site_fract_z
La1 0.149 0.250 0.365
Cd1 0.098 0.750 0.111
Cd2 0.363 0.007 0.809
Pd1 0.341 0.750 0.465
```

Top 8 peaks for 2θ = 10–90°, by angle:
2θ (°)	I/Imax	h k l
29.68	38	0 1 2
30.45	28	1 0 2
33.97	100	1 1 2
34.10	60	2 0 -1
36.24	97	1 2 -1
37.82	44	2 1 1
39.71	29	0 2 2
41.78	35	1 0 -3